# Tb3Nd4Tm2
Theoretical X-ray powder pattern, CuKα. Input: DFT lattice parameters and positions (GGA-PBE).
Neutral-atom scattering factors, no anomalous dispersion.

Cell and atoms:
abc: 17.071 9.795 7.082
angles: 90.00 90.03 90.00
Space group C2/c (No. 15)
Inequivalent atoms, fractional coordinates:
Tb (0.000, 0.000, 0.250)
Tb (0.172, 0.500, 0.250)
Nd (0.010, 0.335, 0.000)
Nd (0.162, 0.181, 0.500)
Tm (0.171, 0.154, 0.000)

Peak list (6 most intense, 10° ≤ 2θ ≤ 90°, in order of falling intensity)
d [Å], 2θ (°), I (rel.)
2.873, 31.13, 100
2.832, 31.59, 69
2.845, 31.44, 35
2.020, 44.86, 23
1.502, 61.75, 21
1.640, 56.06, 18

---

# Tb8Nd4Tm3
Theoretical X-ray powder pattern, CuKα. Input: DFT lattice parameters and positions (GGA-PBE).
Neutral-atom scattering factors, no anomalous dispersion.

Cell and atoms:
abc: 13.448 12.827 6.772
angles: 90.00 119.97 90.00
Space group C2/m (No. 12)
Inequivalent atoms, fractional coordinates:
Tb (0.000, 0.139, 0.000)
Tb (0.000, 0.244, 0.500)
Tb (0.227, 0.000, 0.456)
Tb (0.234, 0.000, 0.983)
Nd (0.000, 0.500, 0.000)
Nd (0.000, 0.500, 0.500)
Nd (0.250, 0.250, 0.500)
Tm (0.000, 0.000, 0.500)
Tm (0.250, 0.250, 0.000)

Peak list (6 most intense, 10° ≤ 2θ ≤ 90°, in order of falling intensity)
d [Å], 2θ (°), I (rel.)
2.917, 30.65, 100
2.933, 30.48, 50
2.162, 41.78, 47
3.207, 27.82, 36
2.811, 31.83, 30
2.156, 41.90, 22

---

# Tb3NdTm8
Theoretical X-ray powder pattern, CuKα. Input: DFT lattice parameters and positions (GGA-PBE).
Neutral-atom scattering factors, no anomalous dispersion.

Cell and atoms:
abc: 10.788 11.174 6.235
angles: 90.00 90.00 90.00
Space group Imm2 (No. 44)
Inequivalent atoms, fractional coordinates:
Tb (0.000, 0.000, 0.000)
Tb (0.000, 0.249, 0.665)
Nd (0.000, 0.500, 0.000)
Tm (0.166, 0.000, 0.498)
Tm (0.167, 0.249, 0.167)
Tm (0.168, 0.500, 0.498)

Peak list (6 most intense, 10° ≤ 2θ ≤ 90°, in order of falling intensity)
d [Å], 2θ (°), I (rel.)
2.721, 32.91, 100
3.116, 28.65, 24
2.793, 32.04, 24
1.512, 61.29, 23
1.599, 57.67, 20
1.799, 50.75, 20

---

# Tb8Nd2Tm3
Theoretical X-ray powder pattern, CuKα. Input: DFT lattice parameters and positions (GGA-PBE).
Neutral-atom scattering factors, no anomalous dispersion.

Cell and atoms:
abc: 5.354 7.670 10.888
angles: 71.28 89.89 89.94
Space group P-1 (No. 2)
Inequivalent atoms, fractional coordinates:
Tb (0.000, 0.035, 0.172)
Tb (0.004, 0.412, 0.739)
Tb (0.495, 0.756, 0.372)
Tb (0.499, 0.710, 0.748)
Nd (0.006, 0.199, 0.481)
Tm (0.000, 0.500, 0.000)
Tm (0.498, 0.766, 0.057)

Peak list (6 most intense, 10° ≤ 2θ ≤ 90°, in order of falling intensity)
d [Å], 2θ (°), I (rel.)
2.978, 30.01, 100
3.006, 29.72, 59
2.677, 33.47, 55
2.700, 33.19, 40
2.781, 32.18, 19
2.893, 30.91, 19

---

# TbNd2Tm12
Theoretical X-ray powder pattern, CuKα. Input: DFT lattice parameters and positions (GGA-PBE).
Neutral-atom scattering factors, no anomalous dispersion.

Cell and atoms:
abc: 7.029 11.076 24.195
angles: 90.00 94.11 90.00
Space group C2/m (No. 12)
Inequivalent atoms, fractional coordinates:
Tb (0.250, 0.000, 0.000)
Nd (0.066, 0.000, 0.272)
Nd (0.068, 0.500, 0.272)
Tm (0.018, 0.250, 0.074)
Tm (0.112, 0.251, 0.446)
Tm (0.141, 0.000, 0.571)
Tm (0.144, 0.500, 0.570)
Tm (0.168, 0.251, 0.668)
Tm (0.202, 0.250, 0.800)
Tm (0.217, 0.000, 0.865)
Tm (0.217, 0.500, 0.864)

Peak list (6 most intense, 10° ≤ 2θ ≤ 90°, in order of falling intensity)
d [Å], 2θ (°), I (rel.)
2.924, 30.58, 100
2.769, 32.33, 69
2.726, 32.86, 62
2.837, 31.54, 45
2.649, 33.84, 34
1.949, 46.61, 26

---

# TbNd4Y2Tm2
Theoretical X-ray powder pattern, CuKα. Input: DFT lattice parameters and positions (GGA-PBE).
Neutral-atom scattering factors, no anomalous dispersion.

Cell and atoms:
abc: 15.297 5.089 8.047
angles: 90.00 108.36 90.00
Space group C2/m (No. 12)
Inequivalent atoms, fractional coordinates:
Tb (0.000, 0.000, 0.000)
Nd (0.054, 0.500, 0.329)
Nd (0.222, 0.000, 0.331)
Y (0.112, 0.000, 0.670)
Tm (0.168, 0.500, 0.000)

Peak list (6 most intense, 10° ≤ 2θ ≤ 90°, in order of falling intensity)
d [Å], 2θ (°), I (rel.)
2.941, 30.40, 100
2.547, 35.24, 50
1.537, 60.22, 21
1.535, 60.31, 21
1.802, 50.67, 18
1.800, 50.73, 18

---

# Tb2Nd6Y
Theoretical X-ray powder pattern, CuKα. Input: DFT lattice parameters and positions (GGA-PBE).
Neutral-atom scattering factors, no anomalous dispersion.

Cell and atoms:
abc: 9.465 17.830 3.676
angles: 90.00 90.00 90.00
Space group Cmmm (No. 65)
Inequivalent atoms, fractional coordinates:
Tb (0.000, 0.178, 0.000)
Nd (0.176, 0.335, 0.500)
Nd (0.183, 0.500, 0.000)
Y (0.000, 0.000, 0.500)

Peak list (6 most intense, 10° ≤ 2θ ≤ 90°, in order of falling intensity)
d [Å], 2θ (°), I (rel.)
2.970, 30.09, 100
3.107, 28.73, 36
2.761, 32.43, 34
2.363, 38.08, 20
1.619, 56.86, 19
2.433, 36.95, 17

---

# Tb9Nd11Y4
Theoretical X-ray powder pattern, CuKα. Input: DFT lattice parameters and positions (GGA-PBE).
Neutral-atom scattering factors, no anomalous dispersion.

Cell and atoms:
abc: 17.087 25.960 3.671
angles: 90.00 90.00 90.00
Space group Cmmm (No. 65)
Inequivalent atoms, fractional coordinates:
Tb (0.000, 0.000, 0.000)
Tb (0.102, 0.232, 0.000)
Tb (0.140, 0.427, 0.000)
Nd (0.000, 0.132, 0.500)
Nd (0.000, 0.339, 0.500)
Nd (0.000, 0.500, 0.500)
Nd (0.210, 0.000, 0.500)
Nd (0.222, 0.319, 0.500)
Y (0.158, 0.102, 0.000)

Peak list (6 most intense, 10° ≤ 2θ ≤ 90°, in order of falling intensity)
d [Å], 2θ (°), I (rel.)
3.039, 29.39, 100
2.784, 32.15, 95
2.799, 31.97, 78
2.906, 30.76, 29
1.571, 58.77, 28
2.993, 29.85, 28